Starting from the PBE geometry in Alexandria, the powder diffraction line list of ZrBS3 was simulated for Cu Kα (weighted mean of Kα1 and Kα2).

The 8 most intense peaks (2θ from 5° to 70°), most intense first:
| 2theta | I/Imax |
| --- | --- |
| 10.54 | 100 |
| 31.41 | 37 |
| 31.25 | 30 |
| 16.56 | 25 |
| 43.07 | 21 |
| 25.08 | 18 |
| 38.77 | 18 |
| 34.08 | 17 |

Crystal structure
```
ZrBS3
1.0
6.8506 0.0000 0.0000
0.0000 3.3876 0.0000
-0.1494 0.0000 8.3926
Zr B S
2 2 6
direct
0.2170 0.2500 0.0561
0.7830 0.7500 0.9439
0.4622 0.2500 0.6147
0.5378 0.7500 0.3853
0.0007 0.7500 0.1917
0.3273 0.7500 0.5364
0.4880 0.7500 0.1650
0.5120 0.2500 0.8350
0.6727 0.2500 0.4636
0.9993 0.2500 0.8083
```

=====

Starting from the PBE geometry in Alexandria, the powder diffraction line list of LiSi2P was simulated for Cu Kα (weighted mean of Kα1 and Kα2).

The 8 most intense peaks (2θ from 5° to 70°), most intense first:
| 2theta | I/Imax |
| --- | --- |
| 26.98 | 100 |
| 12.92 | 78 |
| 37.63 | 64 |
| 44.28 | 62 |
| 51.33 | 30 |
| 46.57 | 23 |
| 26.01 | 21 |
| 48.27 | 20 |

Crystal structure
```
LiSi2P
1.0
3.7705 -1.3554 0.0000
3.7705 1.3554 0.0000
-0.0272 0.0000 6.8523
Li Si P
1 2 1
direct
0.0000 0.0000 0.0000
0.5272 0.5272 0.6529
0.7976 0.7976 0.4607
0.2748 0.2748 0.1832
```

=====

Starting from the PBE geometry in Alexandria, the powder diffraction line list of Ac2B10Rh was simulated for Cu Kα (weighted mean of Kα1 and Kα2).

The 8 most intense peaks (2θ from 5° to 70°), most intense first:
| 2theta | I/Imax |
| --- | --- |
| 29.94 | 100 |
| 37.13 | 87 |
| 21.45 | 79 |
| 47.61 | 29 |
| 20.63 | 26 |
| 30.53 | 26 |
| 43.70 | 25 |
| 26.79 | 20 |

Crystal structure
```
Ac2B10Rh
1.0
5.8672 0.0000 0.0000
0.0000 11.6988 0.0000
0.0000 0.0000 4.3049
Ac B Rh
4 20 2
direct
0.2092 0.1340 0.0000
0.2908 0.6340 0.0000
0.7092 0.3660 0.0000
0.7908 0.8660 0.0000
0.0593 0.3073 0.5000
0.1194 0.9556 0.5000
0.1378 0.8034 0.5000
0.2179 0.3822 0.2024
0.2179 0.3822 0.7976
0.2821 0.8822 0.2024
0.2821 0.8822 0.7976
0.3622 0.3034 0.5000
0.3806 0.4556 0.5000
0.4407 0.8073 0.5000
0.5593 0.1927 0.5000
0.6194 0.5444 0.5000
0.6378 0.6966 0.5000
0.7179 0.1178 0.2024
0.7179 0.1178 0.7976
0.7821 0.6178 0.2024
0.7821 0.6178 0.7976
0.8622 0.1966 0.5000
0.8806 0.0444 0.5000
0.9407 0.6927 0.5000
0.0000 0.5000 0.5000
0.5000 0.0000 0.5000
```

=====

Starting from the PBE geometry in Alexandria, the powder diffraction line list of Na2BeF4 was simulated for Cu Kα (weighted mean of Kα1 and Kα2).

The 8 most intense peaks (2θ from 5° to 70°), most intense first:
| 2theta | I/Imax |
| --- | --- |
| 32.45 | 100 |
| 38.42 | 78 |
| 49.58 | 70 |
| 41.37 | 45 |
| 28.27 | 39 |
| 50.22 | 36 |
| 54.96 | 36 |
| 33.44 | 29 |

Crystal structure
```
Na2BeF4
1.0
2.9902 -4.8279 0.0000
2.9902 4.8279 0.0000
-2.9851 0.0000 6.0408
Na Be F
4 2 8
direct
0.0609 0.9391 0.7500
0.3116 0.6884 0.2500
0.6884 0.3116 0.7500
0.9391 0.0609 0.2500
0.3746 0.6254 0.7500
0.6254 0.3746 0.2500
0.1918 0.6401 0.8894
0.2505 0.3035 0.6101
0.3035 0.2505 0.1101
0.3599 0.8082 0.6106
0.6401 0.1918 0.3894
0.6965 0.7495 0.8899
0.7495 0.6965 0.3899
0.8082 0.3599 0.1106
```